(1)
# Li3Mg2Ag7
Simulated powder diffractogram, Cu Kα X-rays. Input: the GGA-PBE geometry in Alexandria.
Kinematic intensities with the Lorentz-polarization factor, no thermal factor.

Principal peaks in the range 2θ = 5–70°, sorted by position:
15.642 Å, I 100
5.214 Å, I 66
3.051 Å, I 31
2.430 Å, I 25
2.388 Å, I 38
2.381 Å, I 40
2.307 Å, I 39
2.236 Å, I 33

```
Li3Mg2Ag7
1.0
4.6134 0.0000 0.0000
0.0000 3.1107 0.0000
-2.1778 0.0000 15.6420
Li Mg Ag
3 2 7
direct
0.0000 0.0000 0.0000
0.3073 0.5000 0.6089
0.6927 0.5000 0.3911
0.1336 0.0000 0.2804
0.8664 0.0000 0.7196
0.0633 0.5000 0.1328
0.2256 0.0000 0.4501
0.4206 0.0000 0.8338
0.5000 0.5000 0.0000
0.5794 0.0000 0.1662
0.7744 0.0000 0.5499
0.9367 0.5000 0.8672
```

***

(2)
# Li3Mg8Ag
Simulated powder diffractogram, Cu Kα X-rays. Input: the GGA-PBE geometry in Alexandria.
Kinematic intensities with the Lorentz-polarization factor, no thermal factor.

Principal peaks in the range 2θ = 5–70°, sorted by position:
6.488 Å, I 62
6.400 Å, I 60
4.938 Å, I 33
4.367 Å, I 48
2.469 Å, I 58
2.460 Å, I 63
2.442 Å, I 100
2.390 Å, I 96

```
Li3Mg8Ag
1.0
5.8638 0.0000 0.0000
1.9127 6.4262 0.0000
2.0096 -0.5879 6.4881
Li Mg Ag
3 8 1
direct
0.0000 0.0000 0.0000
0.0000 0.0000 0.5000
0.0000 0.5000 0.0000
0.3067 0.6708 0.6702
0.3124 0.6695 0.1751
0.3132 0.1745 0.6682
0.3191 0.1731 0.1735
0.6809 0.8269 0.8265
0.6868 0.8255 0.3318
0.6876 0.3305 0.8249
0.6933 0.3292 0.3298
0.0000 0.5000 0.5000
```

***

(3)
# Li2MgAg6
Simulated powder diffractogram, Cu Kα X-rays. Input: the GGA-PBE geometry in Alexandria.
Kinematic intensities with the Lorentz-polarization factor, no thermal factor.

Principal peaks in the range 2θ = 5–70°, sorted by position:
4.075 Å, I 55
3.907 Å, I 91
2.472 Å, I 58
2.447 Å, I 57
2.388 Å, I 65
2.287 Å, I 100
2.089 Å, I 44
1.928 Å, I 46

```
Li2MgAg6
1.0
7.2893 -3.9070 0.0000
7.2893 3.9070 0.0000
-0.5325 0.0000 2.8193
Li Mg Ag
2 1 6
direct
0.1669 0.1669 0.1670
0.8331 0.8331 0.8330
0.5000 0.5000 0.5000
0.1430 0.5200 0.3304
0.1820 0.8180 0.0000
0.4800 0.8570 0.6696
0.5200 0.1430 0.3304
0.8180 0.1820 0.0000
0.8570 0.4800 0.6696
```

***

(4)
# Li5Mg5Ag
Simulated powder diffractogram, Cu Kα X-rays. Input: the GGA-PBE geometry in Alexandria.
Kinematic intensities with the Lorentz-polarization factor, no thermal factor.

Principal peaks in the range 2θ = 5–70°, sorted by position:
9.595 Å, I 100
4.396 Å, I 46
3.996 Å, I 29
3.241 Å, I 23
2.586 Å, I 63
2.538 Å, I 50
2.453 Å, I 32
1.474 Å, I 20

```
Li5Mg5Ag
1.0
5.0757 0.0000 0.0000
-2.5378 4.3956 0.0000
0.0000 0.0000 9.5955
Li Mg Ag
5 5 1
direct
0.0000 0.0000 0.2296
0.0000 0.0000 0.7704
0.3434 0.1717 0.0000
0.8283 0.1717 0.0000
0.8283 0.6566 0.0000
0.0000 0.0000 0.5000
0.3333 0.6667 0.1882
0.3333 0.6667 0.8118
0.6667 0.3333 0.3290
0.6667 0.3333 0.6710
0.3333 0.6667 0.5000
```

***

(5)
# Li3Mg8Ag2
Simulated powder diffractogram, Cu Kα X-rays. Input: the GGA-PBE geometry in Alexandria.
Kinematic intensities with the Lorentz-polarization factor, no thermal factor.

Principal peaks in the range 2θ = 5–70°, sorted by position:
7.147 Å, I 89
5.274 Å, I 64
4.859 Å, I 97
3.362 Å, I 87
2.487 Å, I 67
2.480 Å, I 72
2.430 Å, I 71
2.316 Å, I 100

```
Li3Mg8Ag2
1.0
5.8262 -4.8591 0.0000
5.8262 4.8591 0.0000
-2.2391 0.0000 4.7691
Li Mg Ag
3 8 2
direct
0.0000 0.0000 0.0000
0.2600 0.7400 0.5000
0.7400 0.2600 0.5000
0.0537 0.6003 0.8349
0.1411 0.1411 0.5939
0.3997 0.9463 0.1651
0.4155 0.4155 0.6912
0.5845 0.5845 0.3088
0.6003 0.0537 0.8349
0.8589 0.8589 0.4061
0.9463 0.3997 0.1651
0.3227 0.3227 0.1221
0.6773 0.6773 0.8779
```

***

(6)
# Li8MgAg4
Simulated powder diffractogram, Cu Kα X-rays. Input: the GGA-PBE geometry in Alexandria.
Kinematic intensities with the Lorentz-polarization factor, no thermal factor.

Principal peaks in the range 2θ = 5–70°, sorted by position:
8.303 Å, I 35
4.151 Å, I 26
4.025 Å, I 100
3.539 Å, I 30
2.916 Å, I 37
2.463 Å, I 30
2.301 Å, I 24
2.271 Å, I 52

```
Li8MgAg4
1.0
2.9619 0.0000 0.0000
0.0000 4.6022 0.0000
0.0000 0.0000 16.6050
Li Mg Ag
8 1 4
direct
0.0000 0.0000 0.0000
0.0000 0.0000 0.2621
0.0000 0.5000 0.1355
0.0000 0.5000 0.4407
0.5000 0.0000 0.4024
0.5000 0.0000 0.6822
0.5000 0.5000 0.6011
0.5000 0.5000 0.9449
0.5000 0.0000 0.8417
0.0000 0.0000 0.5414
0.0000 0.5000 0.7672
0.5000 0.0000 0.1296
0.5000 0.5000 0.2953
```

***

(7)
# Li3Mg2Ag
Simulated powder diffractogram, Cu Kα X-rays. Input: the GGA-PBE geometry in Alexandria.
Kinematic intensities with the Lorentz-polarization factor, no thermal factor.

Principal peaks in the range 2θ = 5–70°, sorted by position:
4.982 Å, I 95
4.227 Å, I 100
4.104 Å, I 58
3.129 Å, I 31
2.796 Å, I 31
2.375 Å, I 59
2.365 Å, I 30
2.332 Å, I 56

```
Li3Mg2Ag
1.0
2.9187 -4.7783 0.0000
2.9187 4.7783 0.0000
-0.0429 0.0000 8.0149
Li Mg Ag
6 4 2
direct
0.0282 0.2985 0.9210
0.1152 0.8848 0.7500
0.2985 0.0282 0.4210
0.7015 0.9718 0.5790
0.8848 0.1152 0.2500
0.9718 0.7015 0.0790
0.2183 0.4514 0.5862
0.4514 0.2183 0.0862
0.5486 0.7817 0.9138
0.7817 0.5486 0.4138
0.3651 0.6349 0.2500
0.6349 0.3651 0.7500
```

***

(8)
# LiNdMgAg2
Simulated powder diffractogram, Cu Kα X-rays. Input: the GGA-PBE geometry in Alexandria.
Kinematic intensities with the Lorentz-polarization factor, no thermal factor.

Principal peaks in the range 2θ = 5–70°, sorted by position:
6.689 Å, I 76
3.017 Å, I 100
2.898 Å, I 89
2.659 Å, I 63
2.240 Å, I 100
2.049 Å, I 45
1.695 Å, I 36
1.512 Å, I 55

```
LiNdMgAg2
1.0
4.0977 0.0000 0.0000
0.0000 4.0977 0.0000
0.0000 0.0000 13.3774
Li Nd Mg Ag
2 2 2 4
direct
0.0000 0.0000 0.0000
0.5000 0.5000 0.5000
0.0000 0.5000 0.7500
0.5000 0.0000 0.2500
0.0000 0.0000 0.5000
0.5000 0.5000 0.0000
0.0000 0.5000 0.1435
0.0000 0.5000 0.3565
0.5000 0.0000 0.6435
0.5000 0.0000 0.8565
```

***

(9)
# LiMgAg2Sn
Simulated powder diffractogram, Cu Kα X-rays. Input: the GGA-PBE geometry in Alexandria.
Kinematic intensities with the Lorentz-polarization factor, no thermal factor.

Principal peaks in the range 2θ = 5–70°, sorted by position:
4.432 Å, I 18
4.222 Å, I 87
2.772 Å, I 88
2.340 Å, I 52
2.317 Å, I 100
2.303 Å, I 39
2.022 Å, I 23
1.606 Å, I 15

```
LiMgAg2Sn
1.0
2.3026 -5.2066 0.0000
2.3026 5.2066 0.0000
0.0000 0.0000 8.4454
Li Mg Ag Sn
2 2 4 2
direct
0.0300 0.9700 0.7500
0.9700 0.0300 0.2500
0.3040 0.6960 0.7500
0.6960 0.3040 0.2500
0.1838 0.8162 0.0616
0.1838 0.8162 0.4384
0.8162 0.1838 0.5616
0.8162 0.1838 0.9384
0.5000 0.5000 0.0000
0.5000 0.5000 0.5000
```

***

(10)
# Sr2LiMgAg6
Simulated powder diffractogram, Cu Kα X-rays. Input: the GGA-PBE geometry in Alexandria.
Kinematic intensities with the Lorentz-polarization factor, no thermal factor.

Principal peaks in the range 2θ = 5–70°, sorted by position:
3.004 Å, I 16
2.930 Å, I 96
2.833 Å, I 100
2.505 Å, I 41
2.489 Å, I 68
2.342 Å, I 18
1.766 Å, I 38
1.698 Å, I 19

```
Sr2LiMgAg6
1.0
4.9820 -5.0104 0.0000
4.9820 5.0104 0.0000
-4.7303 0.0000 4.9802
Sr Li Mg Ag
2 1 1 6
direct
0.2165 0.7835 0.0000
0.7835 0.2165 0.0000
0.5000 0.5000 0.5000
0.0000 0.0000 0.5000
0.2626 0.7374 0.5000
0.3021 0.3021 0.0155
0.3034 0.3034 0.5911
0.6966 0.6966 0.4089
0.6979 0.6979 0.9845
0.7374 0.2626 0.5000
```

***

(11)
# SrLi2MgAg
Simulated powder diffractogram, Cu Kα X-rays. Input: the GGA-PBE geometry in Alexandria.
Kinematic intensities with the Lorentz-polarization factor, no thermal factor.

Principal peaks in the range 2θ = 5–70°, sorted by position:
6.450 Å, I 100
3.167 Å, I 56
3.116 Å, I 40
3.089 Å, I 49
2.843 Å, I 92
2.260 Å, I 30
2.241 Å, I 27
2.231 Å, I 31

```
SrLi2MgAg
1.0
4.4394 0.0000 0.0000
0.0000 4.5207 0.0000
0.0000 0.0000 12.8997
Sr Li Mg Ag
2 4 2 2
direct
0.0000 0.0000 0.0000
0.5000 0.5000 0.5000
0.0000 0.0000 0.6141
0.0000 0.5000 0.2699
0.5000 0.0000 0.7699
0.5000 0.5000 0.1141
0.0000 0.5000 0.7636
0.5000 0.0000 0.2636
0.0000 0.0000 0.4025
0.5000 0.5000 0.9025
```

***

(12)
# Sr2Li3MgAg12
Simulated powder diffractogram, Cu Kα X-rays. Input: the GGA-PBE geometry in Alexandria.
Kinematic intensities with the Lorentz-polarization factor, no thermal factor.

Principal peaks in the range 2θ = 5–70°, sorted by position:
5.054 Å, I 25
2.745 Å, I 100
2.696 Å, I 20
2.497 Å, I 22
2.325 Å, I 30
2.202 Å, I 26
1.830 Å, I 26
1.700 Å, I 23

```
Sr2Li3MgAg12
1.0
3.4001 1.9631 10.1075
-3.4001 1.9631 10.1075
0.0000 -3.9261 10.1075
Sr Li Mg Ag
2 3 1 12
direct
0.1435 0.1435 0.1435
0.8565 0.8565 0.8565
0.0000 0.5000 0.5000
0.5000 0.0000 0.5000
0.5000 0.5000 0.0000
0.5000 0.5000 0.5000
0.0918 0.0918 0.6856
0.0918 0.6856 0.0918
0.1344 0.5787 0.5787
0.3144 0.9082 0.9082
0.4213 0.4213 0.8656
0.4213 0.8656 0.4213
0.5787 0.1344 0.5787
0.5787 0.5787 0.1344
0.6856 0.0918 0.0918
0.8656 0.4213 0.4213
0.9082 0.3144 0.9082
0.9082 0.9082 0.3144
```

***

(13)
# Li2MgTlAg
Simulated powder diffractogram, Cu Kα X-rays. Input: the GGA-PBE geometry in Alexandria.
Kinematic intensities with the Lorentz-polarization factor, no thermal factor.

Principal peaks in the range 2θ = 5–70°, sorted by position:
4.104 Å, I 57
3.805 Å, I 100
2.799 Å, I 31
2.487 Å, I 29
2.356 Å, I 21
2.311 Å, I 91
2.043 Å, I 18
1.710 Å, I 19

```
Li2MgTlAg
1.0
2.3556 -5.2197 0.0000
2.3556 5.2197 0.0000
0.0000 0.0000 8.2071
Li Mg Tl Ag
4 2 2 2
direct
0.1848 0.8152 0.5538
0.1848 0.8152 0.9462
0.8152 0.1848 0.0538
0.8152 0.1848 0.4462
0.5000 0.5000 0.0000
0.5000 0.5000 0.5000
0.3057 0.6943 0.2500
0.6943 0.3057 0.7500
0.0262 0.9738 0.2500
0.9738 0.0262 0.7500
```

***

(14)
# Li2Mg2ZnAg4
Simulated powder diffractogram, Cu Kα X-rays. Input: the GGA-PBE geometry in Alexandria.
Kinematic intensities with the Lorentz-polarization factor, no thermal factor.

Principal peaks in the range 2θ = 5–70°, sorted by position:
4.079 Å, I 100
3.388 Å, I 25
2.478 Å, I 39
2.393 Å, I 53
2.291 Å, I 31
2.258 Å, I 20
2.236 Å, I 31
2.010 Å, I 20

```
Li2Mg2ZnAg4
1.0
5.2491 0.0000 0.0000
-2.5842 4.8650 0.0000
-0.0560 -2.7345 6.3800
Li Mg Zn Ag
2 2 1 4
direct
0.2041 0.4982 0.3576
0.7959 0.5018 0.6424
0.3218 0.0980 0.8591
0.6782 0.9020 0.1409
0.0000 0.5000 0.0000
0.2372 0.0073 0.3851
0.3344 0.5454 0.7320
0.6656 0.4546 0.2680
0.7628 0.9927 0.6149
```